# 1
For ZnCr2Si, a crystal structure in Alexandria, relaxed with GGA-PBE gives the computed X-ray powder pattern in this record (Cu Kα, 1.54184 Å).
Neutral-atom scattering factors, no anomalous dispersion.

Largest 6 diffraction maxima, sorted by position, 5 to 70 degrees two-theta:
- hkl 0 0 2, 2θ 22.13, 4.017 Å, intensity 7.1
- hkl 1 1 2, 2θ 43.37, 2.086 Å, intensity 100.0
- hkl 0 2 0, 2θ 44.63, 2.031 Å, intensity 23.3
- hkl 0 0 4, 2θ 45.14, 2.008 Å, intensity 21.0
- hkl 2 0 0, 2θ 60.62, 1.528 Å, intensity 8.7
- hkl 0 2 4, 2θ 65.35, 1.428 Å, intensity 13.3

Structural model:
```
data_ZnCr2Si
_cell_length_a 3.055
_cell_length_b 4.061
_cell_length_c 8.034
_cell_angle_alpha 90.00
_cell_angle_beta 90.00
_cell_angle_gamma 90.00
_symmetry_space_group_name_H-M 'I m m 2'
_symmetry_Int_Tables_number 44
loop_
_symmetry_equiv_pos_as_xyz
'x,y,z'
'-x,-y,z'
'-x,y,z'
'x,-y,z'
'x+1/2,y+1/2,z+1/2'
'-x+1/2,-y+1/2,z+1/2'
'-x+1/2,y+1/2,z+1/2'
'x+1/2,-y+1/2,z+1/2'
loop_
_atom_site_label
_atom_site_fract_x
_atom_site_fract_y
_atom_site_fract_z
Zn1 0.000 0.000 0.000
Cr1 0.000 0.000 0.490
Cr2 0.000 0.500 0.766
Si1 0.000 0.500 0.239
```

=====

# 2
For Li5Ga2Sb4, a crystal structure in Alexandria, relaxed with GGA-PBE gives the computed X-ray powder pattern in this record (Cu Kα, 1.54184 Å).
Neutral-atom scattering factors, no anomalous dispersion.

Largest 6 diffraction maxima, sorted by position, 5 to 70 degrees two-theta:
- hkl 0 0 1, 2θ 10.50, 8.425 Å, intensity 26.5
- hkl 0 1 2, 2θ 23.87, 3.728 Å, intensity 40.4
- hkl 1 0 -1, 2θ 24.14, 3.687 Å, intensity 100.0
- hkl 0 1 -2, 2θ 27.15, 3.284 Å, intensity 37.6
- hkl 2 0 1, 2θ 36.71, 2.448 Å, intensity 32.3
- hkl -1 1 3, 2θ 42.61, 2.122 Å, intensity 31.7

Structural model:
```
data_Li5Ga2Sb4
_cell_length_a 4.896
_cell_length_b 6.261
_cell_length_c 8.848
_cell_angle_alpha 82.48
_cell_angle_beta 73.95
_cell_angle_gamma 89.89
_symmetry_space_group_name_H-M 'P -1'
_symmetry_Int_Tables_number 2
loop_
_symmetry_equiv_pos_as_xyz
'x,y,z'
'-x,-y,-z'
loop_
_atom_site_label
_atom_site_fract_x
_atom_site_fract_y
_atom_site_fract_z
Li1 0.000 0.000 0.000
Li2 0.307 0.996 0.385
Li3 0.312 0.526 0.377
Ga1 0.085 0.529 0.830
Sb1 0.170 0.205 0.660
Sb2 0.455 0.291 0.091
```

=====

# 3
For Ba2SrHf2O7, a crystal structure in Alexandria, relaxed with GGA-PBE gives the computed X-ray powder pattern in this record (Cu Kα, 1.54184 Å).
Neutral-atom scattering factors, no anomalous dispersion.

Largest 6 diffraction maxima, sorted by position, 5 to 70 degrees two-theta:
- hkl 1 0 5, 2θ 29.59, 3.019 Å, intensity 100.0
- hkl 1 1 0, 2θ 30.30, 2.950 Å, intensity 57.5
- hkl 2 0 0, 2θ 43.38, 2.086 Å, intensity 30.2
- hkl 1 1 10, 2θ 52.04, 1.757 Å, intensity 17.4
- hkl 2 1 5, 2θ 53.39, 1.716 Å, intensity 39.6
- hkl 2 0 10, 2θ 61.42, 1.510 Å, intensity 14.4

Structural model:
```
data_Ba2SrHf2O7
_cell_length_a 4.171
_cell_length_b 4.171
_cell_length_c 21.879
_cell_angle_alpha 90.00
_cell_angle_beta 90.00
_cell_angle_gamma 90.00
_symmetry_space_group_name_H-M 'I 4/m m m'
_symmetry_Int_Tables_number 139
_symmetry_space_group_name_Hall '-I 4 2'
loop_
_atom_site_label
_atom_site_fract_x
_atom_site_fract_y
_atom_site_fract_z
Ba1 0.000 0.000 0.185
Sr1 0.000 0.000 0.000
Hf1 0.000 0.000 0.405
O1 0.000 0.000 0.309
O2 0.000 0.000 0.500
O3 0.000 0.500 0.093
```

=====

# 4
For SrAs12Rh4, a crystal structure in Alexandria, relaxed with GGA-PBE gives the computed X-ray powder pattern in this record (Cu Kα, 1.54184 Å).
Neutral-atom scattering factors, no anomalous dispersion.

Largest 6 diffraction maxima, sorted by position, 5 to 70 degrees two-theta:
- hkl 2 2 0, 2θ 29.10, 3.068 Å, intensity 28.8
- hkl 3 0 1, 2θ 32.63, 2.744 Å, intensity 100.0
- hkl 3 1 2, 2θ 38.82, 2.320 Å, intensity 37.4
- hkl 4 2 0, 2θ 46.81, 1.941 Å, intensity 44.6
- hkl 4 2 2, 2θ 51.59, 1.772 Å, intensity 43.4
- hkl 4 3 1, 2θ 53.86, 1.702 Å, intensity 38.9

Structural model:
```
data_SrAs12Rh4
_cell_length_a 8.679
_cell_length_b 8.679
_cell_length_c 8.679
_cell_angle_alpha 90.00
_cell_angle_beta 90.00
_cell_angle_gamma 90.00
_symmetry_space_group_name_H-M 'I m -3'
_symmetry_Int_Tables_number 204
_symmetry_space_group_name_Hall '-I 2 2 3'
loop_
_atom_site_label
_atom_site_fract_x
_atom_site_fract_y
_atom_site_fract_z
Sr1 0.000 0.000 0.000
As1 0.000 0.350 0.149
Rh1 0.250 0.250 0.250
```

=====

# 5
For DyZr2Ir9, a crystal structure in Alexandria, relaxed with GGA-PBE gives the computed X-ray powder pattern in this record (Cu Kα, 1.54184 Å).
Neutral-atom scattering factors, no anomalous dispersion.

Largest 6 diffraction maxima, sorted by position, 5 to 70 degrees two-theta:
- hkl 1 0 1, 2θ 19.84, 4.475 Å, intensity 35.9
- hkl 0 2 1, 2θ 39.85, 2.262 Å, intensity 29.1
- hkl 1 1 6, 2θ 40.17, 2.245 Å, intensity 100.0
- hkl 0 0 12, 2θ 41.60, 2.171 Å, intensity 32.9
- hkl 2 0 5, 2θ 43.47, 2.082 Å, intensity 45.3
- hkl 0 3 6, 2θ 65.27, 1.430 Å, intensity 24.2

Structural model:
```
data_DyZr2Ir9
_cell_length_a 5.2448
_cell_length_b 5.2448
_cell_length_c 26.0486
_cell_angle_alpha 90.00
_cell_angle_beta 90.00
_cell_angle_gamma 120.00
_symmetry_space_group_name_H-M 'R -3 m'
_symmetry_Int_Tables_number 166
_symmetry_space_group_name_Hall '-R 3 2"'
loop_
_atom_site_label
_atom_site_fract_x
_atom_site_fract_y
_atom_site_fract_z
Dy1 0.0000 0.0000 0.0000
Zr1 0.0000 0.0000 0.1387
Ir1 0.0000 0.0000 0.3339
Ir2 0.0000 0.0000 0.5000
Ir3 0.0023 0.5011 0.9159
```

=====

# 6
For Pm8NiIr3I4, a crystal structure in Alexandria, relaxed with GGA-PBE gives the computed X-ray powder pattern in this record (Cu Kα, 1.54184 Å).
Neutral-atom scattering factors, no anomalous dispersion.

Largest 6 diffraction maxima, sorted by position, 5 to 70 degrees two-theta:
- hkl 0 0 3, 2θ 10.97, 8.063 Å, intensity 24.3
- hkl 0 2 4, 2θ 28.76, 3.104 Å, intensity 100.0
- hkl 0 2 7, 2θ 35.94, 2.498 Å, intensity 15.1
- hkl 2 0 8, 2θ 38.82, 2.320 Å, intensity 26.7
- hkl 2 2 0, 2θ 43.33, 2.088 Å, intensity 38.6
- hkl 4 0 4, 2θ 52.84, 1.733 Å, intensity 18.5

Structural model:
```
data_Pm8NiIr3I4
_cell_length_a 8.3523
_cell_length_b 8.3523
_cell_length_c 24.1896
_cell_angle_alpha 90.00
_cell_angle_beta 90.00
_cell_angle_gamma 120.00
_symmetry_space_group_name_H-M 'R -3 m'
_symmetry_Int_Tables_number 166
_symmetry_space_group_name_Hall '-R 3 2"'
loop_
_atom_site_label
_atom_site_fract_x
_atom_site_fract_y
_atom_site_fract_z
Pm1 0.0000 0.0000 0.2283
Pm2 0.0016 0.5008 0.2275
Ni1 0.0000 0.0000 0.5000
Ir1 0.0000 0.5000 0.5000
I1 0.0000 0.0000 0.0000
I2 0.0000 0.5000 0.0000
```

=====

What is the formula in the sixth record?
Pm8NiIr3I4